1.
Nd4Dy5Tm3: theoretical powder diffraction line list (Cu Kα (weighted mean of Kα1 and Kα2)), based on a structure optimized by DFT (PBE).
No peak broadening, texture or thermal motion is included.

Top 12 peaks for 10 to 90 degrees two-theta, sorted by position:
2θ = 28.63°, rel. 26
2θ = 29.12°, rel. 25
2θ = 29.46°, rel. 28
2θ = 30.23°, rel. 100
2θ = 31.17°, rel. 43
2θ = 31.78°, rel. 51
2θ = 32.47°, rel. 77
2θ = 32.67°, rel. 29
2θ = 33.46°, rel. 66
2θ = 43.97°, rel. 35
2θ = 55.13°, rel. 23
2θ = 59.95°, rel. 24

Atomic structure:
Unit cell a=8.588 b=8.588 c=9.378 alpha=115.04 beta=115.04 gamma=40.28
Positions (direct):
Nd1 0.084 0.084 0.446
Nd2 0.217 0.217 0.881
Nd3 0.783 0.783 0.119
Nd4 0.916 0.916 0.554
Dy1 0.000 0.000 0.000
Dy2 0.329 0.329 0.616
Dy3 0.429 0.429 0.297
Dy4 0.571 0.571 0.703
Dy5 0.671 0.671 0.384
Tm1 0.212 0.212 0.236
Tm2 0.500 0.500 0.000
Tm3 0.788 0.788 0.764

---

2.
NdDyY2Tm: theoretical powder diffraction line list (Cu Kα (weighted mean of Kα1 and Kα2)), based on a structure optimized by DFT (PBE).
No peak broadening, texture or thermal motion is included.

Top 12 peaks for 10 to 90 degrees two-theta, sorted by position:
2θ = 21.10°, rel. 46
2θ = 24.64°, rel. 23
2θ = 25.62°, rel. 26
2θ = 26.27°, rel. 36
2θ = 27.98°, rel. 27
2θ = 29.22°, rel. 38
2θ = 31.23°, rel. 55
2θ = 32.66°, rel. 100
2θ = 32.85°, rel. 21
2θ = 35.84°, rel. 56
2θ = 39.86°, rel. 33
2θ = 45.81°, rel. 64

Atomic structure:
Unit cell a=7.109 b=7.109 c=7.227 alpha=90.00 beta=90.00 gamma=107.35
Positions (direct):
Nd1 0.230 0.770 0.750
Nd2 0.770 0.230 0.250
Dy1 0.498 0.502 0.750
Dy2 0.502 0.498 0.250
Y1 0.190 0.190 0.000
Y2 0.190 0.190 0.500
Y3 0.810 0.810 0.000
Y4 0.810 0.810 0.500
Tm1 0.223 0.777 0.250
Tm2 0.777 0.223 0.750

---

Which formula does entry 2 have?
NdDyY2Tm